No. 1
The following is a theoretical X-ray diffraction stick pattern of LaInNi4H6. It was derived from a DFT-relaxed cell (PBE, Alexandria), using Cu Kα (λ = 1.5418 Å).
No peak broadening, texture or thermal motion is included.

Crystal structure
```
12
Lattice="4.4220 0.0000 0.0000 -2.2110 3.8295 0.0000 0.0000 0.0000 6.8911" Properties=species:S:1:pos:R:3 pbc="T T T"
La 0.0000 0.0000 0.0000
In 0.0000 0.0000 3.4456
Ni 0.0000 2.5530 2.1964
Ni 0.0000 2.5530 4.6947
Ni 2.2110 1.2765 2.1964
Ni 2.2110 1.2765 4.6947
H -1.1055 1.9148 1.2013
H -1.1055 1.9148 5.6898
H 2.2110 0.0000 1.2013
H 2.2110 0.0000 5.6898
H 1.1055 1.9148 1.2013
H 1.1055 1.9148 5.6898
```

The 10 most intense peaks (10° ≤ 2θ ≤ 90°), in order of rising 2θ:
| Position (°2θ) | Rel. int. |
| --- | --- |
| 12.85 | 11.9 |
| 23.23 | 17.3 |
| 26.63 | 9.5 |
| 35.03 | 100.0 |
| 40.81 | 73.6 |
| 54.85 | 26.0 |
| 57.89 | 14.2 |
| 58.77 | 14.2 |
| 70.58 | 24.3 |
| 74.30 | 11.6 |

=====

No. 2
The following is a theoretical X-ray diffraction stick pattern of La4InHPb. It was derived from a DFT-relaxed cell (PBE, Alexandria), using Cu Kα (λ = 1.5418 Å).
No peak broadening, texture or thermal motion is included.

Crystal structure
```
14
Lattice="3.4064 -9.0342 0.0000 3.4064 9.0342 0.0000 0.0000 0.0000 6.8032" Properties=species:S:1:pos:R:3 pbc="T T T"
La 1.7032 4.5171 0.0000
La 1.7032 4.5171 3.4016
La 3.4064 7.8121 5.1024
La 3.4064 1.2947 5.1024
La 1.7032 -4.5171 0.0000
La 1.7032 -4.5171 3.4016
La 3.4064 -1.2947 1.7008
La 3.4064 -7.8121 1.7008
In 3.4064 6.9564 1.7008
In 3.4064 -6.9564 5.1024
H 3.4064 5.3129 5.1024
H 3.4064 -5.3129 1.7008
Pb 3.4064 2.0327 1.7008
Pb 3.4064 -2.0327 5.1024
```

The 10 most intense peaks (10° ≤ 2θ ≤ 90°), in order of rising 2θ:
| Position (°2θ) | Rel. int. |
| --- | --- |
| 26.18 | 23.5 |
| 28.01 | 95.3 |
| 29.67 | 34.5 |
| 30.94 | 39.1 |
| 32.95 | 100.0 |
| 37.36 | 67.6 |
| 48.41 | 41.3 |
| 61.80 | 20.4 |
| 64.61 | 28.5 |
| 72.36 | 18.1 |

=====

No. 3
The following is a theoretical X-ray diffraction stick pattern of La2InHPt6. It was derived from a DFT-relaxed cell (PBE, Alexandria), using Cu Kα (λ = 1.5418 Å).
No peak broadening, texture or thermal motion is included.

Crystal structure
```
10
Lattice="2.8926 1.6701 6.5219 -2.8926 1.6701 6.5219 0.0000 -3.3401 6.5219" Properties=species:S:1:pos:R:3 pbc="T T T"
La 0.0000 0.0000 4.4591
La 0.0000 0.0000 15.1067
In 0.0000 0.0000 9.7829
H 0.0000 0.0000 0.0000
Pt 0.0000 -1.6671 7.6804
Pt -1.4437 0.8335 7.6804
Pt -1.4437 -0.8335 11.8854
Pt 1.4437 0.8335 7.6804
Pt 1.4437 -0.8335 11.8854
Pt 0.0000 1.6671 11.8854
```

The 10 most intense peaks (10° ≤ 2θ ≤ 90°), in order of rising 2θ:
| Position (°2θ) | Rel. int. |
| --- | --- |
| 13.58 | 18.3 |
| 27.35 | 28.3 |
| 33.90 | 25.7 |
| 36.82 | 30.0 |
| 37.04 | 100.0 |
| 40.46 | 85.4 |
| 41.54 | 15.2 |
| 42.86 | 23.2 |
| 58.91 | 15.6 |
| 64.42 | 30.9 |

=====

No. 4
The following is a theoretical X-ray diffraction stick pattern of Li6In2H. It was derived from a DFT-relaxed cell (PBE, Alexandria), using Cu Kα (λ = 1.5418 Å).
No peak broadening, texture or thermal motion is included.

Crystal structure
```
9
Lattice="-2.9488 2.9488 4.2124 2.9488 -2.9488 4.2124 2.9488 2.9488 -4.2124" Properties=species:S:1:pos:R:3 pbc="T T T"
Li 1.4144 1.4144 0.0000
Li 1.5344 -1.5344 4.2124
Li 0.0000 0.0000 2.0339
Li 0.0000 0.0000 6.3908
Li -1.5344 1.5344 4.2124
Li 1.5344 1.5344 4.2124
In 2.9488 0.0000 2.1062
In 0.0000 2.9488 2.1062
H 0.0000 0.0000 0.0000
```

The 10 most intense peaks (10° ≤ 2θ ≤ 90°), in order of rising 2θ:
| Position (°2θ) | Rel. int. |
| --- | --- |
| 21.09 | 51.2 |
| 21.31 | 100.0 |
| 30.16 | 87.5 |
| 30.31 | 43.2 |
| 37.22 | 67.4 |
| 43.40 | 22.1 |
| 48.42 | 22.4 |
| 48.73 | 21.9 |
| 48.83 | 21.8 |
| 53.75 | 32.8 |